Structure and computed PXRD pattern of KFeCo (a cell relaxed with GGA-PBE; λ = 1.5418 Å (Cu Kα)).
Peak positions follow from Bragg's law for the DFT cell and can differ from measured ones.

Peak list (10 most intense, 15° ≤ 2θ ≤ 90°, by angle)
Position (°2θ)	Rel. int.
29.91	100
32.51	39
39.79	21
40.40	94
43.26	37
47.71	28
51.07	80
57.34	27
76.77	15
83.81	19

Structural model:
Lattice parameters (Å, degrees): 6.421 6.421 6.421 155.23 145.46 42.97
Element x y z (fractional)
K 0.000 0.000 0.000
Fe 0.736 0.736 0.000
Co 0.267 0.267 0.000